[1]
Computed powder diffractogram of KNaPrOsO5 for Cu Kα (weighted mean of Kα1 and Kα2), from a GGA-PBE-relaxed structure.
Peak positions follow from Bragg's law for the DFT cell and can differ from measured ones.

```
data_KNaPrOsO5
_cell_length_a 5.767
_cell_length_b 5.767
_cell_length_c 8.045
_cell_angle_alpha 90.00
_cell_angle_beta 90.00
_cell_angle_gamma 90.00
_space_group_name_H-M_alt 'P 1'
_space_group_IT_number 1
loop_
_space_group_symop_operation_xyz
'x,y,z'
loop_
_atom_site_label
_atom_site_fract_x
_atom_site_fract_y
_atom_site_fract_z
K1 0.250 0.750 0.000
K2 0.750 0.250 0.000
Na1 0.250 0.250 0.232
Na2 0.750 0.750 0.768
Pr1 0.250 0.750 0.500
Pr2 0.750 0.250 0.500
Os1 0.250 0.250 0.730
Os2 0.750 0.750 0.270
O1 0.014 0.014 0.680
O2 0.014 0.486 0.680
O3 0.250 0.250 0.961
O4 0.486 0.014 0.680
O5 0.486 0.486 0.680
O6 0.514 0.514 0.320
O7 0.514 0.986 0.320
O8 0.750 0.750 0.039
O9 0.986 0.514 0.320
O10 0.986 0.986 0.320
```

Principal peaks in the range 15° ≤ 2θ ≤ 90°, by intensity:
31.2°, rel. 1000
18.9°, rel. 705
31.0°, rel. 432
55.3°, rel. 394
44.4°, rel. 298
36.6°, rel. 239
55.7°, rel. 205
24.5°, rel. 126
65.2°, rel. 114
40.3°, rel. 111

---

[2]
Computed powder diffractogram of SnBIr3 for Cu Kα (weighted mean of Kα1 and Kα2), from a GGA-PBE-relaxed structure.
Peak positions follow from Bragg's law for the DFT cell and can differ from measured ones.

```
data_SnBIr3
_cell_length_a 5.823
_cell_length_b 5.823
_cell_length_c 4.326
_cell_angle_alpha 90.00
_cell_angle_beta 90.00
_cell_angle_gamma 90.00
_space_group_name_H-M_alt 'P 1'
_space_group_IT_number 1
loop_
_space_group_symop_operation_xyz
'x,y,z'
loop_
_atom_site_label
_atom_site_fract_x
_atom_site_fract_y
_atom_site_fract_z
Sn1 0.000 0.500 0.000
Sn2 0.500 0.000 0.000
B1 0.000 0.000 0.500
B2 0.500 0.500 0.500
Ir1 0.000 0.000 0.000
Ir2 0.189 0.311 0.500
Ir3 0.311 0.811 0.500
Ir4 0.500 0.500 0.000
Ir5 0.689 0.189 0.500
Ir6 0.811 0.689 0.500
```

Principal peaks in the range 15° ≤ 2θ ≤ 90°, by intensity:
37.2°, rel. 1000
40.4°, rel. 288
41.8°, rel. 268
44.0°, rel. 252
34.4°, rel. 222
62.3°, rel. 182
73.2°, rel. 144
70.1°, rel. 119
55.2°, rel. 118
81.4°, rel. 80